[1]
The following is a simulated PXRD pattern of YErTl. It was derived from the PBE geometry in Alexandria, using a wavelength of 1.5418 Å.
Lines closer than 0.1° are merged.

Peak list (10 most intense, 2θ from 10° to 90°, in order of rising 2θ)
(1 0 1), 23.20 deg, I = 20
(1 0 2), 32.91 deg, I = 95
(1 1 0), 33.18 deg, I = 100
(2 0 2), 47.43 deg, I = 34
(2 1 2), 59.10 deg, I = 36
(3 0 0), 59.27 deg, I = 19
(1 1 4), 65.63 deg, I = 28
(2 2 0), 69.64 deg, I = 12
(3 1 2), 79.20 deg, I = 15
(3 0 4), 85.04 deg, I = 14

Atomic structure:
```
data_YErTl
_symmetry_space_group_name_H-M 'P 63/m m c'
_symmetry_Int_Tables_number 194
_symmetry_space_group_name_Hall '-P 6c 2c'
_cell_length_a 5.4004
_cell_length_b 5.4004
_cell_length_c 6.6944
_cell_angle_alpha 90.00
_cell_angle_beta 90.00
_cell_angle_gamma 120.00
loop_
_atom_site_label
_atom_site_fract_x
_atom_site_fract_y
_atom_site_fract_z
Y1 0.3333 0.6667 0.2500
Er1 0.0000 0.0000 0.0000
Tl1 0.3333 0.6667 0.7500
```

---

[2]
The following is a simulated PXRD pattern of Tl2Hg3Au. It was derived from the PBE geometry in Alexandria, using a wavelength of 1.5418 Å.
Lines closer than 0.1° are merged.

Peak list (10 most intense, 2θ from 10° to 90°, in order of rising 2θ)
(1 1 1), 32.61 deg, I = 100
(0 2 0), 34.55 deg, I = 33
(0 1 3), 34.79 deg, I = 60
(1 2 2), 48.28 deg, I = 22
(2 0 0), 52.65 deg, I = 10
(1 3 1), 60.67 deg, I = 12
(0 3 3), 62.06 deg, I = 12
(2 2 0), 64.51 deg, I = 11
(2 1 3), 64.66 deg, I = 21
(2 3 3), 85.68 deg, I = 10

Atomic structure:
```
data_Tl2Hg3Au
_symmetry_space_group_name_H-M 'P m m 2'
_symmetry_Int_Tables_number 25
_cell_length_a 3.477
_cell_length_b 5.192
_cell_length_c 8.913
_cell_angle_alpha 90.00
_cell_angle_beta 90.00
_cell_angle_gamma 90.00
loop_
_symmetry_equiv_pos_as_xyz
'x,y,z'
'-x,-y,z'
'-x,y,z'
'x,-y,z'
loop_
_atom_site_label
_atom_site_fract_x
_atom_site_fract_y
_atom_site_fract_z
Tl1 0.000 0.000 0.000
Tl2 0.000 0.500 0.454
Hg1 0.500 0.000 0.627
Hg2 0.500 0.500 0.143
Hg3 0.500 0.500 0.803
Au1 0.500 0.000 0.301
```

---

[3]
The following is a simulated PXRD pattern of VReW2. It was derived from the PBE geometry in Alexandria, using a wavelength of 1.5418 Å.
Lines closer than 0.1° are merged.

Peak list (10 most intense, 2θ from 10° to 90°, in order of rising 2θ)
(0 0 2), 20.14 deg, I = 5
(0 1 1), 22.56 deg, I = 7
(1 0 1), 30.33 deg, I = 4
(1 1 2), 40.91 deg, I = 100
(2 0 0), 59.08 deg, I = 6
(0 2 4), 59.31 deg, I = 11
(2 2 0), 74.39 deg, I = 12
(1 3 2), 74.54 deg, I = 23
(2 2 4), 88.61 deg, I = 8
(0 4 0), 88.80 deg, I = 4

Atomic structure:
```
data_VReW2
_symmetry_space_group_name_H-M 'I m m m'
_symmetry_Int_Tables_number 71
_symmetry_space_group_name_Hall '-I 2 2'
_cell_length_a 3.127
_cell_length_b 4.406
_cell_length_c 8.817
_cell_angle_alpha 90.00
_cell_angle_beta 90.00
_cell_angle_gamma 90.00
loop_
_atom_site_label
_atom_site_fract_x
_atom_site_fract_y
_atom_site_fract_z
V1 0.000 0.000 0.000
Re1 0.000 0.000 0.500
W1 0.000 0.500 0.252
```

---

[4]
The following is a simulated PXRD pattern of Tl2HClO. It was derived from the PBE geometry in Alexandria, using a wavelength of 1.5418 Å.
Lines closer than 0.1° are merged.

Peak list (10 most intense, 2θ from 10° to 90°, in order of rising 2θ)
(0 0 2), 21.27 deg, I = 52
(2 0 0), 23.67 deg, I = 67
(2 0 2), 32.04 deg, I = 100
(2 2 0), 33.73 deg, I = 49
(2 2 2), 40.22 deg, I = 42
(4 0 0), 48.44 deg, I = 18
(2 0 4), 49.96 deg, I = 24
(4 0 2), 53.47 deg, I = 19
(2 2 4), 56.00 deg, I = 20
(4 2 2), 59.26 deg, I = 35

Atomic structure:
```
data_Tl2HClO
_symmetry_space_group_name_H-M 'I 4 c m'
_symmetry_Int_Tables_number 108
_symmetry_space_group_name_Hall 'I 4 -2c'
_cell_length_a 7.516
_cell_length_b 7.516
_cell_length_c 8.354
_cell_angle_alpha 90.00
_cell_angle_beta 90.00
_cell_angle_gamma 90.00
loop_
_atom_site_label
_atom_site_fract_x
_atom_site_fract_y
_atom_site_fract_z
Tl1 0.249 0.251 0.000
H1 0.000 0.000 0.295
Cl1 0.000 0.500 0.278
O1 0.000 0.000 0.412
```

---

[5]
The following is a simulated PXRD pattern of La2Pm4Al. It was derived from the PBE geometry in Alexandria, using a wavelength of 1.5418 Å.
Lines closer than 0.1° are merged.

Peak list (10 most intense, 2θ from 10° to 90°, in order of rising 2θ)
(1 0 0), 25.72 deg, I = 53
(0 2 1), 25.96 deg, I = 77
(0 0 3), 29.19 deg, I = 81
(1 1 1), 30.11 deg, I = 50
(0 2 2), 31.05 deg, I = 100
(1 0 2), 32.39 deg, I = 34
(1 2 0), 35.50 deg, I = 53
(1 0 3), 39.29 deg, I = 41
(1 2 3), 46.60 deg, I = 45
(2 2 2), 62.57 deg, I = 42

Atomic structure:
```
data_La2Pm4Al
_symmetry_space_group_name_H-M 'P 2 2 2'
_symmetry_Int_Tables_number 16
_cell_length_a 3.463
_cell_length_b 7.401
_cell_length_c 9.178
_cell_angle_alpha 90.00
_cell_angle_beta 90.00
_cell_angle_gamma 90.00
loop_
_symmetry_equiv_pos_as_xyz
'x,y,z'
'-x,-y,z'
'x,-y,-z'
'-x,y,-z'
loop_
_atom_site_label
_atom_site_fract_x
_atom_site_fract_y
_atom_site_fract_z
La1 0.000 0.000 0.000
La2 0.500 0.500 0.000
Pm1 0.016 0.267 0.316
Al1 0.500 0.000 0.500
```

---

[6]
The following is a simulated PXRD pattern of InGaCoS4. It was derived from the PBE geometry in Alexandria, using a wavelength of 1.5418 Å.
Lines closer than 0.1° are merged.

Peak list (10 most intense, 2θ from 10° to 90°, in order of rising 2θ)
(0 0 2), 13.79 deg, I = 39
(0 0 3), 20.75 deg, I = 52
(1 0 0), 27.93 deg, I = 24
(1 0 1), 28.80 deg, I = 100
(1 0 2), 31.27 deg, I = 86
(0 1 3), 35.05 deg, I = 37
(1 0 5), 45.31 deg, I = 73
(1 1 0), 49.41 deg, I = 59
(0 1 6), 51.39 deg, I = 29
(2 1 5), 89.74 deg, I = 20

Atomic structure:
```
data_InGaCoS4
_symmetry_space_group_name_H-M 'P 3 m 1'
_symmetry_Int_Tables_number 156
_cell_length_a 3.6889
_cell_length_b 3.6889
_cell_length_c 12.8409
_cell_angle_alpha 90.00
_cell_angle_beta 90.00
_cell_angle_gamma 120.00
loop_
_symmetry_equiv_pos_as_xyz
'x,y,z'
'-y,x-y,z'
'-x+y,-x,z'
'-y,-x,z'
'-x+y,y,z'
'x,x-y,z'
loop_
_atom_site_label
_atom_site_fract_x
_atom_site_fract_y
_atom_site_fract_z
In1 0.0000 0.0000 0.0000
Ga1 0.6667 0.3333 0.4668
Co1 0.3333 0.6667 0.7241
S1 0.0000 0.0000 0.3872
S2 0.0000 0.0000 0.8074
S3 0.6667 0.3333 0.1012
S4 0.6667 0.3333 0.6431
```

---

Repeat the second record exactly.
The following is a simulated PXRD pattern of Tl2Hg3Au. It was derived from the PBE geometry in Alexandria, using a wavelength of 1.5418 Å.
Lines closer than 0.1° are merged.

Peak list (10 most intense, 2θ from 10° to 90°, in order of rising 2θ)
(1 1 1), 32.61 deg, I = 100
(0 2 0), 34.55 deg, I = 33
(0 1 3), 34.79 deg, I = 60
(1 2 2), 48.28 deg, I = 22
(2 0 0), 52.65 deg, I = 10
(1 3 1), 60.67 deg, I = 12
(0 3 3), 62.06 deg, I = 12
(2 2 0), 64.51 deg, I = 11
(2 1 3), 64.66 deg, I = 21
(2 3 3), 85.68 deg, I = 10

Atomic structure:
```
data_Tl2Hg3Au
_symmetry_space_group_name_H-M 'P m m 2'
_symmetry_Int_Tables_number 25
_cell_length_a 3.477
_cell_length_b 5.192
_cell_length_c 8.913
_cell_angle_alpha 90.00
_cell_angle_beta 90.00
_cell_angle_gamma 90.00
loop_
_symmetry_equiv_pos_as_xyz
'x,y,z'
'-x,-y,z'
'-x,y,z'
'x,-y,z'
loop_
_atom_site_label
_atom_site_fract_x
_atom_site_fract_y
_atom_site_fract_z
Tl1 0.000 0.000 0.000
Tl2 0.000 0.500 0.454
Hg1 0.500 0.000 0.627
Hg2 0.500 0.500 0.143
Hg3 0.500 0.500 0.803
Au1 0.500 0.000 0.301
```